Theoretical X-ray powder pattern of Pr3AsBr3 for Cu Kα, from a structure optimized by DFT (PBE).

Crystal structure
Lattice parameters (Å, degrees): 12.088 12.088 12.088 90.00 90.00 90.00
Space group I4_132 (No. 214)
Symmetry-distinct sites (fractional):
1 Pr 0.114 0.364 0.125
2 As 0.125 0.125 0.125
3 Br 0.120 0.130 0.625

Principal peaks in the range 2θ = 10–80°, low angle first:
10.35°, I = 28, (1 1 0); 27.61°, I = 17, (3 2 1); 29.56°, I = 100, (4 0 0); 34.81°, I = 9, (3 3 2); 42.30°, I = 72, (4 4 0); 52.45°, I = 25, (4 4 4); 55.89°, I = 7, (7 2 1); 61.36°, I = 11, (8 0 0); 69.56°, I = 30, (8 4 0); 77.35°, I = 21, (8 4 4)